TbEr2Cd3InGa2: computed powder X-ray diffraction pattern (Cu Kα, 1.54184 Å), based on a PBE-relaxed structure.
Neutral-atom scattering factors, no anomalous dispersion.

Cell and atoms:
a b c (Å): 4.497 7.292 7.292
angles (deg): 120.09 90.00 90.00
Element x y z (fractional)
Tb (0.000, 0.000, 0.000)
Er (0.000, 0.437, 0.875)
Er (0.000, 0.875, 0.437)
Cd (0.500, 0.182, 0.438)
Cd (0.500, 0.438, 0.182)
Cd (0.500, 0.692, 0.692)
In (0.000, 0.438, 0.438)
Ga (0.500, 0.104, 0.770)
Ga (0.500, 0.770, 0.104)

The 10 most intense peaks (5 to 70 degrees two-theta), most intense first:
- 34.7 deg, intensity 100.0
- 31.6 deg, intensity 62.5
- 37.7 deg, intensity 33.8
- 40.1 deg, intensity 27.7
- 56.2 deg, intensity 20.8
- 28.3 deg, intensity 18.1
- 56.4 deg, intensity 15.5
- 69.4 deg, intensity 13.0
- 68.0 deg, intensity 12.9
- 42.9 deg, intensity 12.6

***

Nd3Y3CoTe2: computed powder X-ray diffraction pattern (Cu Kα, 1.54184 Å), based on a PBE-relaxed structure.
Neutral-atom scattering factors, no anomalous dispersion.

Cell and atoms:
a b c (Å): 8.585 8.585 3.893
angles (deg): 90.00 90.00 120.00
Element x y z (fractional)
Nd (0.000, 0.239, 0.000)
Nd (0.239, 0.000, 0.000)
Nd (0.761, 0.761, 0.000)
Y (0.000, 0.590, 0.500)
Y (0.410, 0.410, 0.500)
Y (0.590, 0.000, 0.500)
Co (0.000, 0.000, 0.500)
Te (0.333, 0.667, 0.000)
Te (0.667, 0.333, 0.000)

The 10 most intense peaks (5 to 70 degrees two-theta), most intense first:
- 31.0 deg, intensity 100.0
- 31.8 deg, intensity 99.8
- 33.3 deg, intensity 87.8
- 39.6 deg, intensity 61.4
- 59.1 deg, intensity 36.8
- 57.6 deg, intensity 36.6
- 36.2 deg, intensity 36.2
- 46.7 deg, intensity 23.7
- 62.0 deg, intensity 23.2
- 22.8 deg, intensity 18.2

***

Y4Lu3Ni2Te2: computed powder X-ray diffraction pattern (Cu Kα, 1.54184 Å), based on a PBE-relaxed structure.
Neutral-atom scattering factors, no anomalous dispersion.

Cell and atoms:
a b c (Å): 9.314 9.314 9.314
angles (deg): 156.20 66.98 118.43
Element x y z (fractional)
Y (0.145, 0.000, 0.145)
Y (0.168, 0.352, 0.816)
Y (0.536, 0.352, 0.184)
Y (0.855, 0.000, 0.855)
Lu (0.230, 0.730, 0.500)
Lu (0.514, 0.148, 0.366)
Lu (0.782, 0.148, 0.634)
Ni (0.399, 0.658, 0.741)
Ni (0.916, 0.658, 0.259)
Te (0.498, 0.498, 0.000)
Te (0.890, 0.390, 0.500)

The 10 most intense peaks (5 to 70 degrees two-theta), most intense first:
- 34.1 deg, intensity 100.0
- 33.1 deg, intensity 58.9
- 34.6 deg, intensity 57.6
- 30.4 deg, intensity 47.1
- 47.3 deg, intensity 26.4
- 59.0 deg, intensity 22.1
- 30.3 deg, intensity 15.4
- 51.3 deg, intensity 15.3
- 28.7 deg, intensity 14.4
- 45.1 deg, intensity 13.4

***

Ho2CSe: computed powder X-ray diffraction pattern (Cu Kα, 1.54184 Å), based on a PBE-relaxed structure.
Neutral-atom scattering factors, no anomalous dispersion.

Cell and atoms:
a b c (Å): 3.743 3.743 19.638
angles (deg): 90.00 90.00 120.00
Element x y z (fractional)
Ho (0.000, 0.000, 0.234)
Ho (0.000, 0.000, 0.766)
Ho (0.333, 0.667, 0.433)
Ho (0.333, 0.667, 0.901)
Ho (0.667, 0.333, 0.099)
Ho (0.667, 0.333, 0.567)
C (0.000, 0.000, 0.500)
C (0.333, 0.667, 0.167)
C (0.667, 0.333, 0.833)
Se (0.000, 0.000, 0.000)
Se (0.333, 0.667, 0.667)
Se (0.667, 0.333, 0.333)

The 10 most intense peaks (5 to 70 degrees two-theta), most intense first:
- 33.1 deg, intensity 100.0
- 29.0 deg, intensity 47.8
- 48.7 deg, intensity 38.3
- 35.9 deg, intensity 26.9
- 46.4 deg, intensity 25.4
- 65.7 deg, intensity 19.4
- 60.1 deg, intensity 17.8
- 41.4 deg, intensity 12.6
- 68.5 deg, intensity 11.9
- 27.2 deg, intensity 11.2

***

Nd2Sm2CI3Cl2: computed powder X-ray diffraction pattern (Cu Kα, 1.54184 Å), based on a PBE-relaxed structure.
Neutral-atom scattering factors, no anomalous dispersion.

Cell and atoms:
a b c (Å): 9.608 9.608 8.658
angles (deg): 101.08 101.08 24.01
Element x y z (fractional)
Nd (0.136, 0.136, 0.071)
Nd (0.864, 0.864, 0.929)
Sm (0.498, 0.498, 0.194)
Sm (0.502, 0.502, 0.806)
C (0.000, 0.000, 0.000)
I (0.000, 0.000, 0.500)
I (0.327, 0.327, 0.190)
I (0.673, 0.673, 0.810)
Cl (0.351, 0.351, 0.692)
Cl (0.649, 0.649, 0.308)

The 10 most intense peaks (5 to 70 degrees two-theta), most intense first:
- 30.4 deg, intensity 100.0
- 10.4 deg, intensity 64.2
- 29.1 deg, intensity 44.6
- 9.6 deg, intensity 40.9
- 33.2 deg, intensity 30.0
- 42.1 deg, intensity 26.7
- 43.1 deg, intensity 23.8
- 45.4 deg, intensity 19.3
- 29.7 deg, intensity 17.9
- 25.5 deg, intensity 17.7

***

PmSmSO2: computed powder X-ray diffraction pattern (Cu Kα, 1.54184 Å), based on a PBE-relaxed structure.
Neutral-atom scattering factors, no anomalous dispersion.

Cell and atoms:
a b c (Å): 3.917 3.917 6.737
angles (deg): 90.00 90.00 120.00
Element x y z (fractional)
Pm (0.000, 0.000, 0.000)
Sm (0.333, 0.667, 0.562)
S (0.667, 0.333, 0.281)
O (0.000, 0.000, 0.651)
O (0.333, 0.667, 0.910)

The 10 most intense peaks (5 to 70 degrees two-theta), most intense first:
- 29.5 deg, intensity 100.0
- 46.4 deg, intensity 31.6
- 37.6 deg, intensity 30.1
- 48.6 deg, intensity 24.6
- 26.5 deg, intensity 22.0
- 26.3 deg, intensity 19.8
- 54.2 deg, intensity 18.8
- 55.9 deg, intensity 17.0
- 63.0 deg, intensity 8.9
- 69.4 deg, intensity 8.2

***

MoH12C5S2Cl4: computed powder X-ray diffraction pattern (Cu Kα, 1.54184 Å), based on a PBE-relaxed structure.
Neutral-atom scattering factors, no anomalous dispersion.

Cell and atoms:
a b c (Å): 7.121 7.486 12.910
angles (deg): 77.55 81.74 72.14
Element x y z (fractional)
Mo (0.240, 0.125, 0.250)
Mo (0.760, 0.875, 0.750)
H (0.003, 0.899, 0.105)
H (0.141, 0.688, 0.188)
H (0.182, 0.716, 0.045)
H (0.234, 0.224, 0.727)
H (0.246, 0.867, 0.529)
H (0.269, 0.392, 0.613)
H (0.300, 0.673, 0.459)
H (0.326, 0.233, 0.895)
H (0.326, 0.529, 0.747)
H (0.429, 0.588, 0.293)
H (0.457, 0.389, 0.911)
H (0.476, 0.684, 0.546)
H (0.524, 0.316, 0.454)
H (0.543, 0.611, 0.089)
H (0.571, 0.412, 0.707)
H (0.674, 0.471, 0.253)
H (0.674, 0.767, 0.105)
H (0.700, 0.327, 0.541)
H (0.731, 0.608, 0.387)
H (0.754, 0.133, 0.471)
H (0.766, 0.776, 0.273)
H (0.818, 0.284, 0.955)
H (0.859, 0.312, 0.812)
H (0.997, 0.101, 0.895)
C (0.147, 0.790, 0.113)
C (0.345, 0.289, 0.679)
C (0.365, 0.766, 0.489)
C (0.431, 0.387, 0.746)
C (0.452, 0.288, 0.861)
C (0.548, 0.712, 0.139)
C (0.569, 0.613, 0.254)
C (0.635, 0.234, 0.511)
C (0.655, 0.711, 0.321)
C (0.853, 0.210, 0.887)
S (0.330, 0.913, 0.109)
S (0.484, 0.902, 0.383)
S (0.516, 0.098, 0.617)
S (0.670, 0.087, 0.891)
Cl (0.023, 0.952, 0.332)
Cl (0.030, 0.341, 0.126)
Cl (0.158, 0.345, 0.369)
Cl (0.459, 0.818, 0.828)
Cl (0.541, 0.182, 0.172)
Cl (0.842, 0.655, 0.631)
Cl (0.970, 0.659, 0.874)
Cl (0.977, 0.048, 0.668)

The 10 most intense peaks (5 to 70 degrees two-theta), most intense first:
- 15.4 deg, intensity 100.0
- 14.1 deg, intensity 58.6
- 12.6 deg, intensity 57.8
- 14.4 deg, intensity 47.8
- 30.1 deg, intensity 38.2
- 33.5 deg, intensity 33.6
- 25.8 deg, intensity 32.9
- 18.3 deg, intensity 27.9
- 30.7 deg, intensity 18.4
- 13.3 deg, intensity 16.9

***

AgAsSO: computed powder X-ray diffraction pattern (Cu Kα, 1.54184 Å), based on a PBE-relaxed structure.
Neutral-atom scattering factors, no anomalous dispersion.

Cell and atoms:
a b c (Å): 6.416 4.542 11.216
angles (deg): 90.00 94.17 90.00
Element x y z (fractional)
Ag (0.038, 0.000, 0.195)
Ag (0.355, 0.666, 0.958)
Ag (0.645, 0.166, 0.042)
Ag (0.962, 0.500, 0.805)
As (0.162, 0.285, 0.466)
As (0.413, 0.032, 0.709)
As (0.587, 0.532, 0.291)
As (0.838, 0.785, 0.534)
S (0.123, 0.992, 0.815)
S (0.409, 0.860, 0.164)
S (0.591, 0.360, 0.836)
S (0.877, 0.492, 0.185)
O (0.092, 0.896, 0.479)
O (0.327, 0.330, 0.603)
O (0.673, 0.830, 0.397)
O (0.908, 0.396, 0.521)

The 10 most intense peaks (5 to 70 degrees two-theta), most intense first:
- 25.0 deg, intensity 100.0
- 26.8 deg, intensity 48.9
- 25.7 deg, intensity 46.4
- 34.8 deg, intensity 42.3
- 43.0 deg, intensity 35.6
- 28.6 deg, intensity 35.2
- 15.4 deg, intensity 33.8
- 7.9 deg, intensity 32.4
- 25.3 deg, intensity 31.8
- 48.9 deg, intensity 25.6

***

Pr2Sm2CCl4F: computed powder X-ray diffraction pattern (Cu Kα, 1.54184 Å), based on a PBE-relaxed structure.
Neutral-atom scattering factors, no anomalous dispersion.

Cell and atoms:
a b c (Å): 8.907 8.907 7.511
angles (deg): 102.56 102.56 24.38
Element x y z (fractional)
Pr (0.001, 0.001, 0.262)
Pr (0.999, 0.999, 0.738)
Sm (0.354, 0.354, 0.420)
Sm (0.646, 0.646, 0.580)
C (0.500, 0.500, 0.500)
Cl (0.167, 0.167, 0.854)
Cl (0.173, 0.173, 0.323)
Cl (0.827, 0.827, 0.677)
Cl (0.833, 0.833, 0.146)
F (0.500, 0.500, 0.000)

The 10 most intense peaks (5 to 70 degrees two-theta), most intense first:
- 33.7 deg, intensity 100.0
- 12.1 deg, intensity 70.4
- 28.5 deg, intensity 59.1
- 31.6 deg, intensity 47.0
- 10.4 deg, intensity 34.8
- 48.4 deg, intensity 34.1
- 47.0 deg, intensity 30.9
- 35.6 deg, intensity 27.9
- 46.8 deg, intensity 27.8
- 32.4 deg, intensity 22.5

***

SrPdSeO: computed powder X-ray diffraction pattern (Cu Kα, 1.54184 Å), based on a PBE-relaxed structure.
Neutral-atom scattering factors, no anomalous dispersion.

Cell and atoms:
a b c (Å): 4.925 4.925 13.192
angles (deg): 90.00 90.00 90.02
Element x y z (fractional)
Sr (0.233, 0.267, 0.250)
Sr (0.267, 0.233, 0.750)
Sr (0.733, 0.767, 0.250)
Sr (0.767, 0.733, 0.750)
Pd (0.247, 0.753, 0.439)
Pd (0.253, 0.747, 0.939)
Pd (0.747, 0.253, 0.061)
Pd (0.753, 0.247, 0.561)
Se (0.246, 0.246, 0.000)
Se (0.254, 0.254, 0.500)
Se (0.746, 0.746, 0.500)
Se (0.754, 0.754, 0.000)
O (0.233, 0.767, 0.270)
O (0.267, 0.733, 0.770)
O (0.733, 0.267, 0.230)
O (0.767, 0.233, 0.730)

The 10 most intense peaks (5 to 70 degrees two-theta), most intense first:
- 36.5 deg, intensity 100.0
- 22.5 deg, intensity 53.2
- 37.6 deg, intensity 48.6
- 27.0 deg, intensity 46.3
- 46.0 deg, intensity 40.6
- 62.3 deg, intensity 34.8
- 52.6 deg, intensity 33.3
- 32.7 deg, intensity 32.3
- 29.0 deg, intensity 20.9
- 49.8 deg, intensity 19.8

***

LaGdH2Cl4: computed powder X-ray diffraction pattern (Cu Kα, 1.54184 Å), based on a PBE-relaxed structure.
Neutral-atom scattering factors, no anomalous dispersion.

Cell and atoms:
a b c (Å): 3.913 3.913 13.287
angles (deg): 90.00 90.00 120.00
Element x y z (fractional)
La (0.000, 0.000, 0.000)
Gd (0.000, 0.000, 0.500)
H (0.333, 0.667, 0.000)
H (0.667, 0.333, 0.500)
Cl (0.333, 0.667, 0.371)
Cl (0.333, 0.667, 0.629)
Cl (0.667, 0.333, 0.137)
Cl (0.667, 0.333, 0.863)

The 10 most intense peaks (5 to 70 degrees two-theta), most intense first:
- 29.6 deg, intensity 100.0
- 13.3 deg, intensity 97.2
- 37.9 deg, intensity 74.8
- 26.3 deg, intensity 35.2
- 46.4 deg, intensity 30.0
- 48.5 deg, intensity 22.7
- 49.1 deg, intensity 20.5
- 61.4 deg, intensity 17.7
- 56.0 deg, intensity 16.6
- 63.4 deg, intensity 14.0

***

RbAgPSeS2: computed powder X-ray diffraction pattern (Cu Kα, 1.54184 Å), based on a PBE-relaxed structure.
Neutral-atom scattering factors, no anomalous dispersion.

Cell and atoms:
a b c (Å): 7.231 7.231 8.031
angles (deg): 107.92 107.92 59.84
Element x y z (fractional)
Rb (0.191, 0.191, 0.204)
Rb (0.809, 0.809, 0.796)
Ag (0.262, 0.738, 0.500)
Ag (0.738, 0.262, 0.500)
P (0.481, 0.481, 0.849)
P (0.519, 0.519, 0.151)
Se (0.299, 0.299, 0.704)
Se (0.701, 0.701, 0.296)
S (0.199, 0.673, 0.183)
S (0.327, 0.801, 0.817)
S (0.673, 0.199, 0.183)
S (0.801, 0.327, 0.817)

The 10 most intense peaks (5 to 70 degrees two-theta), most intense first:
- 29.3 deg, intensity 100.0
- 29.1 deg, intensity 96.0
- 28.5 deg, intensity 73.3
- 50.7 deg, intensity 55.3
- 34.5 deg, intensity 43.7
- 23.2 deg, intensity 31.3
- 33.6 deg, intensity 29.6
- 22.3 deg, intensity 25.5
- 32.6 deg, intensity 22.2
- 11.8 deg, intensity 21.3